Simulated powder X-ray diffraction pattern
Compound: Rb3PS4
Radiation: copper Kα
Structure: DFT lattice parameters and positions (PBE)
Intensities are scaled so that the largest is 100.

Cell and atoms:
```
8
Lattice="-3.4904 4.9740 3.7711 3.4904 -4.9740 3.7711 3.4904 4.9740 -3.7711" Properties=species:S:1:pos:R:3 pbc="T T T"
Rb 0.0000 0.0000 0.0000
Rb 3.4904 2.5274 -0.5764
Rb 0.0000 2.4467 3.1948
P 0.0000 4.9740 0.0065
S 3.4904 -1.6962 2.6033
S 3.4904 1.6962 2.6033
S 1.6822 4.9740 1.1735
S 1.8082 0.0000 4.9446
```

Most intense lines, 2θ from 10° to 90°, in order of falling intensity:
2θ 24.95, d 3.569, I = 100
2θ 35.03, d 2.562, I = 36
2θ 29.75, d 3.003, I = 33
2θ 25.52, d 3.490, I = 31
2θ 23.59, d 3.771, I = 21
2θ 42.31, d 2.136, I = 20